Calculated PXRD pattern of NaCeF6 for Cu Ka, from DFT lattice parameters and positions (PBE).

Structural model:
Cell: 5.332 5.332 8.859 Å, 90.00 90.00 90.00°
Element x y z (fractional)
Na: 0.000 0.000 0.250
Na: 0.000 0.000 0.750
Ce: 0.500 0.500 0.000
Ce: 0.500 0.500 0.500
F: 0.193 0.763 0.000
F: 0.237 0.193 0.500
F: 0.267 0.695 0.335
F: 0.267 0.695 0.665
F: 0.305 0.267 0.165
F: 0.305 0.267 0.835
F: 0.695 0.733 0.165
F: 0.695 0.733 0.835
F: 0.733 0.305 0.335
F: 0.733 0.305 0.665
F: 0.763 0.807 0.500
F: 0.807 0.237 0.000

The 12 most intense peaks (15 to 90 degrees two-theta), sorted by position:
hkl, Position (°2θ), I (rel.)
1 0 0, 16.6, 100
0 0 2, 20.0, 28
1 1 0, 23.6, 81
1 0 2, 26.2, 95
1 1 2, 31.2, 37
1 2 0, 37.7, 20
1 1 3, 38.7, 19
2 0 2, 39.5, 19
1 2 2, 43.1, 74
1 1 4, 47.6, 23
2 2 0, 48.3, 25
3 0 2, 55.7, 22